AcAgPd6: calculated X-ray diffraction stick pattern (Cu Kα, 1.54184 Å), based on a DFT-relaxed cell (PBE, Alexandria).
Kinematic intensities with the Lorentz-polarization factor, no thermal factor.

Structural model:
```
8
Lattice="5.289 0.000 0.000 0.000 5.289 0.000 0.000 0.000 5.289" Properties=species:S:1:pos:R:3 pbc="T T T"
Ac 0.000 0.000 0.000
Ag 2.645 2.645 2.645
Pd 0.000 2.645 1.358
Pd 0.000 2.645 3.931
Pd 1.358 0.000 2.645
Pd 2.645 1.358 0.000
Pd 2.645 3.931 0.000
Pd 3.931 0.000 2.645
```

The 10 most intense peaks (10° ≤ 2θ ≤ 90°), in order of rising 2θ:
3.740 Å, 2θ = 23.8°, I = 9.3
2.645 Å, 2θ = 33.9°, I = 45.0
2.365 Å, 2θ = 38.0°, I = 85.2
2.159 Å, 2θ = 41.8°, I = 100.0
1.467 Å, 2θ = 63.4°, I = 19.6
1.414 Å, 2θ = 66.1°, I = 51.1
1.322 Å, 2θ = 71.3°, I = 16.0
1.183 Å, 2θ = 81.4°, I = 14.2
1.154 Å, 2θ = 83.8°, I = 16.8
1.128 Å, 2θ = 86.3°, I = 12.6

---

Ac3AgPd8: calculated X-ray diffraction stick pattern (Cu Kα, 1.54184 Å), based on a DFT-relaxed cell (PBE, Alexandria).
Kinematic intensities with the Lorentz-polarization factor, no thermal factor.

Structural model:
```
12
Lattice="2.798 1.615 9.177 -2.798 1.615 9.177 0.000 -3.231 9.177" Properties=species:S:1:pos:R:3 pbc="T T T"
Ac 0.000 0.000 0.000
Ac 0.000 0.000 3.614
Ac 0.000 0.000 14.403
Ag 0.000 0.000 17.736
Pd -1.400 -0.808 11.147
Pd 0.000 -1.597 6.553
Pd -1.383 0.799 6.553
Pd 0.000 0.000 8.844
Pd 1.383 0.799 6.553
Pd 1.400 -0.808 11.147
Pd 0.000 1.616 11.147
Pd 0.000 0.000 22.621
```

The 10 most intense peaks (10° ≤ 2θ ≤ 90°), in order of rising 2θ:
3.055 Å, 2θ = 29.2°, I = 12.2
2.801 Å, 2θ = 31.9°, I = 64.8
2.390 Å, 2θ = 37.6°, I = 100.0
2.386 Å, 2θ = 37.7°, I = 37.7
2.286 Å, 2θ = 39.4°, I = 26.9
1.616 Å, 2θ = 57.0°, I = 18.5
1.525 Å, 2θ = 60.7°, I = 21.5
1.524 Å, 2θ = 60.8°, I = 16.8
1.403 Å, 2θ = 66.7°, I = 12.3
1.399 Å, 2θ = 66.9°, I = 19.3

---

Ac12AgPd6: calculated X-ray diffraction stick pattern (Cu Kα, 1.54184 Å), based on a DFT-relaxed cell (PBE, Alexandria).
Kinematic intensities with the Lorentz-polarization factor, no thermal factor.

Structural model:
```
19
Lattice="-5.452 5.452 5.452 5.452 -5.452 5.452 5.452 5.452 -5.452" Properties=species:S:1:pos:R:3 pbc="T T T"
Ac 5.452 -2.131 3.466
Ac 3.322 1.987 0.000
Ac 7.583 1.987 0.000
Ac 3.466 5.452 -2.131
Ac 1.987 0.000 3.322
Ac 0.000 3.322 1.987
Ac 5.452 2.131 3.466
Ac 3.466 5.452 2.131
Ac 1.987 0.000 7.583
Ac -2.131 3.466 5.452
Ac 2.131 3.466 5.452
Ac 0.000 7.583 1.987
Ag 0.000 0.000 0.000
Pd 5.452 0.000 1.419
Pd 5.452 4.033 0.000
Pd 1.419 5.452 0.000
Pd 4.033 0.000 5.452
Pd 0.000 1.419 5.452
Pd 0.000 5.452 4.033
```

The 10 most intense peaks (10° ≤ 2θ ≤ 90°), in order of rising 2θ:
3.448 Å, 2θ = 25.8°, I = 33.5
3.148 Å, 2θ = 28.4°, I = 26.8
2.914 Å, 2θ = 30.7°, I = 100.0
2.138 Å, 2θ = 42.3°, I = 19.9
1.870 Å, 2θ = 48.7°, I = 32.9
1.817 Å, 2θ = 50.2°, I = 15.8
1.769 Å, 2θ = 51.7°, I = 32.9
1.542 Å, 2θ = 60.0°, I = 16.3
1.285 Å, 2θ = 73.7°, I = 15.3
1.268 Å, 2θ = 74.9°, I = 17.0

---

AcPrAgPd: calculated X-ray diffraction stick pattern (Cu Kα, 1.54184 Å), based on a DFT-relaxed cell (PBE, Alexandria).
Kinematic intensities with the Lorentz-polarization factor, no thermal factor.

Structural model:
```
8
Lattice="4.819 0.000 0.000 0.000 4.080 0.000 0.000 0.000 11.558" Properties=species:S:1:pos:R:3 pbc="T T T"
Ac 0.000 0.000 0.000
Ac 0.000 2.040 5.779
Pr 2.410 0.000 3.168
Pr 2.410 2.040 8.947
Ag 0.000 0.000 8.309
Ag 0.000 2.040 2.530
Pd 2.410 0.000 6.466
Pd 2.410 2.040 0.687
```

The 10 most intense peaks (10° ≤ 2θ ≤ 90°), in order of rising 2θ:
3.701 Å, 2θ = 24.0°, I = 16.5
3.007 Å, 2θ = 29.7°, I = 100.0
2.889 Å, 2θ = 30.9°, I = 29.4
2.801 Å, 2θ = 31.9°, I = 29.6
2.478 Å, 2θ = 36.2°, I = 20.6
2.422 Å, 2θ = 37.1°, I = 65.0
2.410 Å, 2θ = 37.3°, I = 31.4
2.040 Å, 2θ = 44.4°, I = 20.7
1.851 Å, 2θ = 49.2°, I = 16.2
1.827 Å, 2θ = 49.9°, I = 17.3

---

Ac2AgSb4Pd3: calculated X-ray diffraction stick pattern (Cu Kα, 1.54184 Å), based on a DFT-relaxed cell (PBE, Alexandria).
Kinematic intensities with the Lorentz-polarization factor, no thermal factor.

Structural model:
```
10
Lattice="4.757 0.000 0.000 0.000 4.757 0.000 0.000 0.000 10.875" Properties=species:S:1:pos:R:3 pbc="T T T"
Ac 0.000 2.378 2.674
Ac 2.378 0.000 8.201
Ag 2.378 2.378 0.000
Sb 0.000 0.000 5.437
Sb 0.000 2.378 9.420
Sb 2.378 0.000 1.455
Sb 2.378 2.378 5.437
Pd 0.000 0.000 0.000
Pd 0.000 2.378 6.762
Pd 2.378 0.000 4.113
```

The 10 most intense peaks (10° ≤ 2θ ≤ 90°), in order of rising 2θ:
3.364 Å, 2θ = 26.5°, I = 16.9
2.883 Å, 2θ = 31.0°, I = 66.2
2.861 Å, 2θ = 31.3°, I = 100.0
2.378 Å, 2θ = 37.8°, I = 65.5
1.978 Å, 2θ = 45.9°, I = 25.4
1.835 Å, 2θ = 49.7°, I = 35.9
1.682 Å, 2θ = 54.6°, I = 22.5
1.596 Å, 2θ = 57.8°, I = 14.7
1.521 Å, 2θ = 60.9°, I = 21.9
1.450 Å, 2θ = 64.2°, I = 25.3

---

Ac4PmAg: calculated X-ray diffraction stick pattern (Cu Kα, 1.54184 Å), based on a DFT-relaxed cell (PBE, Alexandria).
Kinematic intensities with the Lorentz-polarization factor, no thermal factor.

Structural model:
```
6
Lattice="3.944 0.000 0.000 0.000 3.944 0.000 0.000 0.000 14.858" Properties=species:S:1:pos:R:3 pbc="T T T"
Ac 0.000 0.000 1.996
Ac 0.000 0.000 12.862
Ac 1.972 1.972 4.868
Ac 1.972 1.972 9.990
Pm 0.000 0.000 7.429
Ag 1.972 1.972 0.000
```

The 10 most intense peaks (10° ≤ 2θ ≤ 90°), in order of rising 2θ:
3.812 Å, 2θ = 23.3°, I = 8.4
3.085 Å, 2θ = 28.9°, I = 100.0
2.789 Å, 2θ = 32.1°, I = 44.5
2.476 Å, 2θ = 36.3°, I = 8.8
1.972 Å, 2θ = 46.0°, I = 16.6
1.852 Å, 2θ = 49.2°, I = 14.9
1.680 Å, 2θ = 54.6°, I = 8.8
1.662 Å, 2θ = 55.3°, I = 33.5
1.543 Å, 2θ = 60.0°, I = 8.3
1.279 Å, 2θ = 74.1°, I = 8.0